1.
Structure and theoretical X-ray diffraction stick pattern of Na3In2Ag2 (a cell relaxed with GGA-PBE; Cu Kα).
Lines closer than 0.1° are merged.

Structure:
```
Na3In2Ag2
1.0
8.670 0.000 0.000
0.000 5.046 0.000
-2.947 0.000 7.686
Na In Ag
6 4 4
Direct
0.000 0.000 0.000
0.139 0.000 0.416
0.361 0.500 0.584
0.500 0.500 0.000
0.639 0.500 0.416
0.861 0.000 0.584
0.097 0.500 0.790
0.403 0.000 0.210
0.597 0.000 0.790
0.903 0.500 0.210
0.227 0.500 0.180
0.273 0.000 0.820
0.727 0.000 0.180
0.773 0.500 0.820
```

Main lines, sorted by position (2θ from 5° to 70°):
- 11.51°, I 49
- 20.77°, I 60
- 23.14°, I 49
- 34.06°, I 28
- 34.18°, I 55
- 35.02°, I 23
- 35.59°, I 51
- 35.81°, I 100
- 42.91°, I 38
- 50.79°, I 31

---

2.
Structure and theoretical X-ray diffraction stick pattern of Na2In6Ag3 (a cell relaxed with GGA-PBE; Cu Kα).
Lines closer than 0.1° are merged.

Structure:
```
Na2In6Ag3
1.0
8.423 0.000 0.000
-4.212 7.295 0.000
0.000 0.000 4.749
Na In Ag
2 6 3
Direct
0.333 0.667 0.000
0.667 0.333 0.000
0.000 0.209 0.000
0.000 0.707 0.500
0.209 0.000 0.000
0.293 0.293 0.500
0.707 0.000 0.500
0.791 0.791 0.000
0.000 0.383 0.500
0.383 0.000 0.500
0.617 0.617 0.500
```

Main lines, sorted by position (2θ from 5° to 70°):
- 12.13°, I 31
- 21.10°, I 47
- 28.33°, I 55
- 36.97°, I 27
- 37.73°, I 100
- 37.89°, I 35
- 41.73°, I 37
- 44.80°, I 16
- 53.98°, I 17
- 68.33°, I 16

---

3.
Structure and theoretical X-ray diffraction stick pattern of Na2In5Ag4 (a cell relaxed with GGA-PBE; Cu Kα).
Lines closer than 0.1° are merged.

Structure:
```
Na2In5Ag4
1.0
6.582 -2.999 0.000
6.582 2.999 0.000
-6.144 0.000 6.586
Na In Ag
2 5 4
Direct
0.201 0.201 0.202
0.799 0.799 0.798
0.252 0.748 0.328
0.252 0.748 0.672
0.500 0.500 0.000
0.748 0.252 0.328
0.748 0.252 0.672
0.257 0.257 0.588
0.257 0.257 0.927
0.743 0.743 0.073
0.743 0.743 0.412
```

Main lines, sorted by position (2θ from 5° to 70°):
- 17.77°, I 63
- 19.71°, I 34
- 31.21°, I 66
- 32.82°, I 45
- 33.37°, I 24
- 35.26°, I 100
- 37.37°, I 66
- 38.39°, I 83
- 40.72°, I 63
- 61.84°, I 30

---

4.
Structure and theoretical X-ray diffraction stick pattern of Na3In8Ag3 (a cell relaxed with GGA-PBE; Cu Kα).
Lines closer than 0.1° are merged.

Structure:
```
Na3In8Ag3
1.0
-2.435 5.595 6.350
2.435 -5.595 6.350
2.435 5.595 -6.350
Na In Ag
3 8 3
Direct
0.000 0.000 0.000
0.286 0.286 0.000
0.714 0.714 0.000
0.004 0.371 0.633
0.154 0.862 0.292
0.262 0.629 0.633
0.430 0.138 0.292
0.570 0.862 0.708
0.738 0.371 0.367
0.846 0.138 0.708
0.996 0.629 0.367
0.361 0.500 0.861
0.500 0.000 0.500
0.639 0.500 0.139
```

Main lines, sorted by position (2θ from 5° to 70°):
- 19.88°, I 42
- 22.46°, I 32
- 30.18°, I 31
- 32.26°, I 62
- 32.42°, I 35
- 33.39°, I 34
- 34.67°, I 50
- 36.91°, I 72
- 37.76°, I 96
- 41.71°, I 100